Entry 1:
Calculated powder X-ray diffraction pattern
Compound: Ca3V2O8
Radiation: Cu Kα, 1.54184 Å
Structure: a PBE+U-relaxed structure
Kinematic intensities with the Lorentz-polarization factor, no thermal factor.

Most intense lines, 2θ from 15° to 90°, sorted by position:
two_theta  Rel. int.
29.68  356
29.81  711
31.78  1000
32.05  490
44.02  224
44.24  441
51.47  429
56.96  162
66.40  213
71.15  182

Cell and atoms:
```
13
Lattice="4.891 -2.792 0.000 4.891 2.792 0.000 -3.250 0.000 6.357" Properties=species:S:1:pos:R:3 pbc="T T T"
Ca 0.000 0.000 0.000
Ca -0.013 0.000 3.756
Ca 6.546 0.000 2.601
V 3.275 0.000 1.362
V 3.258 0.000 4.995
O 2.451 1.433 4.416
O 4.082 1.433 1.941
O 1.610 0.000 1.898
O 0.078 0.000 6.005
O 6.455 0.000 0.352
O 4.922 0.000 4.458
O 2.451 -1.433 4.416
O 4.082 -1.433 1.941
```

Entry 2:
Calculated powder X-ray diffraction pattern
Compound: CaV2O4
Radiation: Cu Kα, 1.54184 Å
Structure: a PBE+U-relaxed structure
Kinematic intensities with the Lorentz-polarization factor, no thermal factor.

Most intense lines, 2θ from 15° to 90°, sorted by position:
two_theta  Rel. int.
15.86  620
30.85  576
32.04  1000
33.27  361
34.45  379
34.56  364
40.64  913
43.32  353
48.34  503
58.05  622

Cell and atoms:
```
14
Lattice="6.863 -1.588 0.000 6.863 1.588 0.000 -5.452 0.000 7.640" Properties=species:S:1:pos:R:3 pbc="T T T"
Ca 1.145 0.000 1.321
Ca 7.129 0.000 6.319
V -2.596 0.000 6.295
V 2.114 0.000 4.062
V 6.160 0.000 3.578
V 10.870 0.000 1.345
O -1.112 0.000 2.300
O 0.213 0.000 4.716
O -0.848 0.000 7.620
O 3.306 0.000 2.415
O 4.968 0.000 5.225
O 9.122 0.000 0.020
O 8.062 0.000 2.924
O 9.386 0.000 5.340
```

Entry 3:
Calculated powder X-ray diffraction pattern
Compound: Li2FeF4
Radiation: Cu Kα, 1.54184 Å
Structure: a PBE+U-relaxed structure
Kinematic intensities with the Lorentz-polarization factor, no thermal factor.

Most intense lines, 2θ from 15° to 90°, sorted by position:
two_theta  Rel. int.
22.95  1000
24.56  407
27.15  299
31.08  283
33.05  370
37.48  765
40.00  269
44.57  421
60.35  297
64.82  253

Cell and atoms:
```
14
Lattice="2.877 -4.347 0.000 2.877 4.347 0.000 0.000 0.000 6.570" Properties=species:S:1:pos:R:3 pbc="T T T"
Li 0.000 0.000 0.000
Li 0.000 0.000 3.285
Li 2.877 1.345 4.927
Li 2.877 -1.345 1.642
Fe 2.877 1.478 1.642
Fe 2.877 -1.478 4.927
F 2.877 2.355 3.372
F 2.877 2.355 6.482
F 1.476 0.046 4.927
F 1.476 -0.046 1.642
F 4.279 0.046 4.927
F 4.279 -0.046 1.642
F 2.877 -2.355 0.087
F 2.877 -2.355 3.198
```

Entry 4:
Calculated powder X-ray diffraction pattern
Compound: K4Mn2H16S4O23
Radiation: Cu Kα, 1.54184 Å
Structure: a PBE+U-relaxed structure
Kinematic intensities with the Lorentz-polarization factor, no thermal factor.

Most intense lines, 2θ from 15° to 90°, sorted by position:
two_theta  Rel. int.
17.04  671
20.85  346
21.02  446
21.96  1000
24.40  350
25.06  767
32.33  489
34.40  388
34.48  619
38.13  365

Cell and atoms:
```
49
Lattice="7.951 0.000 0.000 1.296 8.000 0.000 0.579 0.549 9.724" Properties=species:S:1:pos:R:3 pbc="T T T"
K 0.000 0.000 0.000
K 1.949 1.668 5.144
K 4.484 3.927 0.219
K 6.514 5.721 4.875
Mn 1.600 4.801 2.582
Mn 5.296 1.103 7.520
H 1.063 4.325 5.417
H 1.683 4.424 9.453
H 2.325 5.308 5.574
H 2.640 5.740 9.527
H 2.881 2.447 8.695
H 2.977 2.006 2.319
H 3.015 1.116 0.121
H 4.309 3.633 6.353
H 4.083 2.943 2.970
H 4.934 2.829 5.171
H 6.240 6.699 0.152
H 7.144 6.686 2.240
H 7.473 6.585 8.614
H 6.860 0.421 5.160
H 8.254 7.592 2.934
H 8.851 7.683 6.335
S 4.109 6.972 6.483
S 3.982 6.829 1.568
S 7.178 2.764 3.765
S 7.561 3.265 8.590
O 1.166 3.176 8.507
O 1.707 4.889 4.934
O 1.453 4.629 0.322
O 2.726 7.404 6.847
O 3.192 6.120 2.618
O 2.545 0.307 1.726
O 3.485 6.433 0.228
O 3.143 2.921 2.648
O 4.388 7.271 5.057
O 3.784 2.196 9.027
O 4.282 5.507 6.750
O 5.092 7.729 7.318
O 4.415 2.711 6.016
O 5.423 6.412 1.688
O 5.740 3.151 3.605
O 7.397 7.436 9.085
O 6.597 2.402 0.296
O 7.087 2.021 7.781
O 7.954 7.855 5.953
O 7.627 3.209 5.118
O 8.070 6.684 2.598
O 7.353 1.284 3.658
O 7.999 3.446 2.730
```

Entry 5:
Calculated powder X-ray diffraction pattern
Compound: MgGe2WO6
Radiation: Cu Kα, 1.54184 Å
Structure: a PBE+U-relaxed structure
Kinematic intensities with the Lorentz-polarization factor, no thermal factor.

Most intense lines, 2θ from 15° to 90°, sorted by position:
two_theta  Rel. int.
20.63  369
21.44  1000
28.64  391
30.81  520
35.28  250
35.44  322
38.96  198
46.34  183
57.04  187
62.01  176

Cell and atoms:
```
20
Lattice="7.091 -4.459 0.000 7.091 4.459 0.000 -0.695 0.000 4.984" Properties=species:S:1:pos:R:3 pbc="T T T"
Mg 6.570 3.087 3.738
Mg 6.917 -3.087 1.246
Ge 1.905 0.939 3.943
Ge 2.252 -0.939 1.451
Ge 11.235 0.939 3.534
Ge 11.582 -0.939 1.042
W 6.917 0.902 1.246
W 6.570 -0.902 3.738
O 1.447 0.513 0.422
O 1.099 -0.513 2.914
O 5.762 2.234 1.959
O 8.073 2.234 0.533
O 5.388 0.607 4.532
O 5.736 -0.607 2.039
O 7.752 0.607 2.945
O 8.099 -0.607 0.453
O 5.415 -2.234 4.451
O 7.725 -2.234 3.025
O 12.388 0.513 2.070
O 12.041 -0.513 4.563
```

Entry 6:
Calculated powder X-ray diffraction pattern
Compound: LiFePHO5
Radiation: Cu Kα, 1.54184 Å
Structure: a PBE+U-relaxed structure
Kinematic intensities with the Lorentz-polarization factor, no thermal factor.

Most intense lines, 2θ from 15° to 90°, sorted by position:
two_theta  Rel. int.
17.60  334
18.38  247
18.78  413
22.31  247
25.55  239
26.43  571
26.84  1000
29.00  679
35.91  303
52.51  206

Cell and atoms:
```
36
Lattice="5.179 0.000 0.000 -2.464 6.972 0.000 -1.247 -3.221 10.076" Properties=species:S:1:pos:R:3 pbc="T T T"
Li 0.000 0.000 0.000
Li -0.730 -0.635 6.072
Li 0.777 1.695 5.057
Li 1.267 4.448 1.037
Fe -0.344 -0.406 3.040
Fe -1.572 3.079 3.050
Fe 1.616 -2.012 8.074
Fe 0.397 1.471 8.093
P -2.125 2.411 6.264
P -2.264 0.513 9.908
P 2.312 0.545 1.226
P 2.174 -1.347 4.864
H -0.570 -0.792 8.398
H 0.621 1.863 2.732
H 1.419 4.297 3.375
H 1.338 3.738 7.743
O -2.121 3.764 7.025
O -0.625 3.558 1.321
O -0.160 1.615 3.295
O -0.753 1.697 6.381
O 1.184 -0.355 1.788
O -1.142 1.418 9.335
O 0.803 -0.629 4.749
O 0.206 -0.551 7.831
O 0.675 -2.481 9.812
O -0.298 4.275 4.105
O 2.321 1.890 1.997
O 2.565 -1.525 6.354
O 0.568 3.495 8.323
O 3.686 -0.168 1.334
O 1.925 1.512 6.837
O 3.302 -0.448 4.291
O 1.536 1.207 9.787
O 2.192 4.545 2.803
O 2.662 2.592 4.775
O 2.923 -0.845 9.151
```

Entry 7:
Calculated powder X-ray diffraction pattern
Compound: MgTl2Fe2O4
Radiation: Cu Kα, 1.54184 Å
Structure: a PBE+U-relaxed structure
Kinematic intensities with the Lorentz-polarization factor, no thermal factor.

Most intense lines, 2θ from 15° to 90°, sorted by position:
two_theta  Rel. int.
17.86  479
18.09  501
21.08  409
28.17  531
29.35  1000
30.82  654
31.93  424
33.12  385
33.99  621
44.97  379

Cell and atoms:
```
9
Lattice="5.375 -2.901 0.000 5.375 2.901 0.000 -3.202 0.000 5.242" Properties=species:S:1:pos:R:3 pbc="T T T"
Mg 0.000 0.000 0.000
Tl 4.313 0.000 4.413
Tl 8.403 0.000 2.275
Fe 1.300 0.000 2.517
Fe 4.694 0.000 0.992
O 1.186 0.000 4.383
O 5.820 1.520 1.408
O 3.118 0.000 2.008
O 5.820 -1.520 1.408
```

Entry 8:
Calculated powder X-ray diffraction pattern
Compound: Li10Fe3Ni7O20
Radiation: Cu Kα, 1.54184 Å
Structure: a PBE+U-relaxed structure
Kinematic intensities with the Lorentz-polarization factor, no thermal factor.

Most intense lines, 2θ from 15° to 90°, sorted by position:
two_theta  Rel. int.
18.49  1000
35.08  187
36.67  252
37.45  111
37.97  101
42.32  284
44.55  465
47.82  110
58.67  94
63.13  280

Cell and atoms:
```
40
Lattice="5.161 0.000 0.000 0.000 2.849 0.000 -0.821 0.000 24.032" Properties=species:S:1:pos:R:3 pbc="T T T"
Li 0.000 0.000 0.000
Li -0.410 1.424 12.016
Li 0.525 0.000 14.429
Li 0.962 1.424 2.388
Li 1.467 1.424 16.840
Li 1.910 0.000 4.788
Li 2.430 0.000 19.244
Li 2.873 1.424 7.193
Li 3.378 1.424 21.645
Li 3.815 0.000 9.603
Fe 1.267 1.424 9.541
Fe 2.170 0.000 12.016
Fe 3.073 1.424 14.491
Ni -0.139 1.424 19.260
Ni 0.279 0.000 7.153
Ni 0.797 0.000 21.648
Ni 2.581 1.424 0.000
Ni 3.543 0.000 2.384
Ni 4.061 0.000 16.880
Ni 4.479 1.424 4.772
O -0.428 1.424 15.768
O 0.064 0.000 3.709
O 0.062 1.424 22.701
O 0.502 0.000 10.760
O 0.977 1.424 6.086
O 0.598 0.000 18.190
O 1.407 1.424 13.215
O 1.856 0.000 1.058
O 1.541 1.424 20.598
O 2.038 0.000 8.394
O 2.302 0.000 15.638
O 2.799 1.424 3.434
O 2.484 0.000 22.974
O 2.933 1.424 10.817
O 3.742 0.000 5.842
O 3.363 1.424 17.946
O 3.838 0.000 13.272
O 4.278 1.424 1.331
O 4.276 0.000 20.324
O 4.768 1.424 8.264
```

Entry 9:
Calculated powder X-ray diffraction pattern
Compound: Li5Ni4O8
Radiation: Cu Kα, 1.54184 Å
Structure: a PBE+U-relaxed structure
Kinematic intensities with the Lorentz-polarization factor, no thermal factor.

Most intense lines, 2θ from 15° to 90°, sorted by position:
two_theta  Rel. int.
18.43  745
19.27  535
19.89  1000
35.37  555
35.48  456
36.88  513
44.62  540
45.79  919
52.59  404
62.16  447

Cell and atoms:
```
34
Lattice="2.872 -5.245 0.000 2.872 5.245 0.000 0.000 0.000 9.627" Properties=species:S:1:pos:R:3 pbc="T T T"
Li 2.872 5.124 4.813
Li 1.626 1.061 4.109
Li 2.872 3.138 4.238
Li 2.872 1.875 1.954
Li 1.626 -1.061 8.923
Li 4.118 1.061 4.109
Li 2.872 -1.875 6.768
Li 2.872 -3.138 9.052
Li 4.118 -1.061 8.923
Li 2.872 -5.124 0.000
Ni 1.446 0.817 6.730
Ni 2.872 3.394 6.725
Ni 1.446 -0.817 1.916
Ni 2.872 1.756 9.163
Ni 2.872 -1.756 4.349
Ni 4.298 0.817 6.730
Ni 2.872 -3.394 1.911
Ni 4.298 -0.817 1.916
O 2.872 5.167 7.746
O 1.526 2.521 7.965
O 2.872 3.705 0.801
O 1.472 1.001 0.684
O 2.872 1.656 5.642
O 1.472 -1.001 5.497
O 2.872 0.095 7.870
O 4.218 2.521 7.965
O 1.526 -2.521 3.152
O 2.872 -0.095 3.057
O 4.272 1.001 0.684
O 2.872 -1.656 0.829
O 4.272 -1.001 5.497
O 2.872 -3.705 5.614
O 4.218 -2.521 3.152
O 2.872 -5.167 2.932
```

Entry 10:
Calculated powder X-ray diffraction pattern
Compound: MgCrGaO4
Radiation: Cu Kα, 1.54184 Å
Structure: a PBE+U-relaxed structure
Kinematic intensities with the Lorentz-polarization factor, no thermal factor.

Most intense lines, 2θ from 15° to 90°, sorted by position:
two_theta  Rel. int.
17.46  168
21.52  544
27.70  1000
35.08  731
35.47  427
37.37  423
47.17  449
53.91  379
54.17  428
61.90  201

Cell and atoms:
```
7
Lattice="5.234 0.000 0.000 0.000 2.962 0.000 -1.275 0.000 5.080" Properties=species:S:1:pos:R:3 pbc="T T T"
Mg 0.000 0.000 0.000
Cr 3.120 0.000 1.664
Ga 0.616 1.481 3.621
O -0.705 0.000 3.137
O 0.752 0.000 5.022
O 2.069 1.481 2.494
O 4.253 1.481 0.776
```